The following is a computed X-ray diffraction stick pattern of MgCoSiO4. It was derived from DFT lattice parameters and positions (GGA+U), using CuKα.
Peak positions follow from Bragg's law for the DFT cell and can differ from measured ones.

The 10 most intense peaks (10 to 90 degrees two-theta), by angle:
5.097 Å, 17.40 deg, intensity 59, (2 0 0); 4.325 Å, 20.54 deg, intensity 28, (1 0 1); 3.871 Å, 22.97 deg, intensity 22, (2 1 0); 2.769 Å, 32.33 deg, intensity 66, (3 0 1); 2.510 Å, 35.77 deg, intensity 26, (3 1 1); 2.452 Å, 36.66 deg, intensity 100, (1 2 1); 2.027 Å, 44.71 deg, intensity 20, (3 2 1); 1.749 Å, 52.30 deg, intensity 53, (2 2 2); 1.743 Å, 52.52 deg, intensity 19, (4 0 2); 1.476 Å, 63.00 deg, intensity 27, (6 2 0)

Unit cell a=10.1944 b=5.9517 c=4.7757 alpha=90.00 beta=90.00 gamma=90.00
Space group Pnma (No. 62)
Unique sites:
1 Mg 0.2244 0.2500 0.0082 (multiplicity 4)
2 Co 0.0000 0.0000 0.5000 (multiplicity 4)
3 Si 0.0950 0.7500 0.0732 (multiplicity 4)
4 O 0.0547 0.2500 0.7875 (multiplicity 4)
5 O 0.0955 0.7500 0.7311 (multiplicity 4)
6 O 0.1662 0.5316 0.2209 (multiplicity 8)